No. 1
Theoretical X-ray diffraction stick pattern of TlGe2Au6 for Cu Ka, from a PBE-relaxed structure.

Principal peaks in the range 10° ≤ 2θ ≤ 90°, most intense first:
d/Å	Rel. int.
2.673	100
2.116	74
2.746	53
2.985	50
1.956	46
2.187	42
2.774	38
2.262	38

Structural model:
Cell: 11.120 3.912 9.067 Å, 90.00 99.04 90.00°
Space group C2/m (No. 12)
Asymmetric unit:
Tl 0.000 0.000 0.000 x2
Ge 0.140 0.500 0.374 x4
Au 0.016 0.000 0.667 x4
Au 0.200 0.500 0.664 x4
Au 0.246 0.500 0.108 x4

No. 2
Theoretical X-ray diffraction stick pattern of Zn6AgHg for Cu Ka, from a PBE-relaxed structure.

Principal peaks in the range 10° ≤ 2θ ≤ 90°, most intense first:
d/Å	Rel. int.
2.191	100
2.144	51
2.354	43
2.475	28
1.326	21
1.205	20
1.706	18
1.197	15

Structural model:
Cell: 4.709 5.769 4.817 Å, 90.00 90.00 90.00°
Space group Pmm2 (No. 25)
Asymmetric unit:
Zn 0.000 0.000 0.000 x1
Zn 0.000 0.235 0.508 x2
Zn 0.500 0.241 0.827 x2
Zn 0.500 0.500 0.363 x1
Ag 0.500 0.000 0.321 x1
Hg 0.000 0.500 0.012 x1

No. 3
Theoretical X-ray diffraction stick pattern of Pm3CdRh3 for Cu Ka, from a PBE-relaxed structure.

Principal peaks in the range 10° ≤ 2θ ≤ 90°, most intense first:
d/Å	Rel. int.
2.630	100
2.348	81
2.729	73
2.202	50
3.044	30
2.563	26
2.880	24
2.302	21

Structural model:
Cell: 4.404 10.434 13.814 Å, 90.00 90.00 90.00°
Space group Cmcm (No. 63)
Asymmetric unit:
Pm 0.000 0.026 0.250 x4
Pm 0.000 0.306 0.105 x8
Cd 0.000 0.000 0.000 x4
Rh 0.000 0.244 0.750 x4
Rh 0.000 0.401 0.595 x8